Entry 1:
Diffraction record for Pm3HoBi2. The X-ray powder pattern is calculated, not measured: it uses a crystal structure in Alexandria, relaxed with GGA-PBE and Cu Kα.
Lines closer than 0.1° are merged.

Main lines, by angle (2θ = 10–90°):
2θ/deg, Rel. int.
27.31, 23
29.13, 76
30.20, 36
34.08, 100
36.04, 28
39.00, 58
50.10, 36
54.15, 18
56.34, 20
67.51, 28

Cell and atoms:
```
6
Lattice="4.619 0.000 0.000 0.000 4.619 0.000 0.000 0.000 8.879" Properties=species:S:1:pos:R:3 pbc="T T T"
Pm 0.000 0.000 0.000
Pm 0.000 2.309 5.766
Pm 2.309 0.000 3.113
Ho 2.309 2.309 0.000
Bi 0.000 2.309 2.478
Bi 2.309 0.000 6.400
```

=====

Entry 2:
Diffraction record for Li3ScF6. The X-ray powder pattern is calculated, not measured: it uses a crystal structure in Alexandria, relaxed with GGA-PBE and Cu Kα.
Lines closer than 0.1° are merged.

Main lines, by angle (2θ = 10–90°):
2θ/deg, Rel. int.
20.32, 72
20.66, 85
29.13, 58
35.78, 100
46.62, 49
47.11, 68
55.63, 41
56.21, 17
56.93, 16
68.96, 18

Cell and atoms:
```
20
Lattice="4.371 2.524 3.482 -4.371 2.524 3.482 0.000 -5.048 3.482" Properties=species:S:1:pos:R:3 pbc="T T T"
Li -3.059 -0.797 4.727
Li -0.839 -3.047 5.719
Li -2.219 2.251 5.719
Li 2.219 -2.251 4.727
Li 0.839 3.047 4.727
Li 3.059 0.797 5.719
Sc 0.000 0.000 0.000
Sc 0.000 0.000 5.223
F -2.797 -2.637 5.691
F -3.682 1.104 4.755
F -0.996 -1.371 4.118
F 0.885 -3.740 4.755
F -0.689 1.548 4.118
F -1.685 0.177 6.328
F 1.685 -0.177 4.118
F 0.689 -1.548 6.328
F -0.885 3.740 5.691
F 0.996 1.371 6.328
F 3.682 -1.104 5.691
F 2.797 2.637 4.755
```

=====

Entry 3:
Diffraction record for Nd7DyTm3. The X-ray powder pattern is calculated, not measured: it uses a crystal structure in Alexandria, relaxed with GGA-PBE and Cu Kα.
Lines closer than 0.1° are merged.

Main lines, by angle (2θ = 10–90°):
2θ/deg, Rel. int.
23.11, 9
24.71, 9
30.34, 38
31.38, 19
31.60, 12
32.22, 100
44.21, 15
44.38, 10
55.10, 22
61.26, 9

Cell and atoms:
```
11
Lattice="6.380 -5.702 0.000 6.380 5.702 0.000 -2.716 0.000 5.228" Properties=species:S:1:pos:R:3 pbc="T T T"
Nd 0.000 0.000 0.000
Nd 3.096 2.408 1.612
Nd 1.574 0.000 4.148
Nd 6.949 2.408 3.616
Nd 3.096 -2.408 1.612
Nd 8.471 0.000 1.081
Nd 6.949 -2.408 3.616
Dy -1.358 0.000 2.614
Tm 6.380 2.332 0.000
Tm 5.022 0.000 2.614
Tm 6.380 -2.332 0.000
```

=====

Entry 4:
Diffraction record for Na2CuSi4O10. The X-ray powder pattern is calculated, not measured: it uses a crystal structure in Alexandria, relaxed with GGA-PBE and Cu Kα.
Lines closer than 0.1° are merged.

Main lines, by angle (2θ = 10–90°):
2θ/deg, Rel. int.
13.34, 42
14.59, 27
22.24, 100
26.87, 66
27.10, 31
27.85, 81
29.01, 38
30.03, 69
34.55, 43
38.29, 30

Cell and atoms:
```
34
Lattice="7.003 0.000 0.000 -3.210 7.101 0.000 -1.549 -3.662 9.034" Properties=species:S:1:pos:R:3 pbc="T T T"
Na 0.341 1.908 0.223
Na -1.392 2.995 3.803
Na 3.636 0.443 5.231
Na 1.903 1.531 8.811
Cu 0.144 0.361 5.179
Cu 2.100 3.077 3.855
Si -3.489 3.443 6.784
Si -1.431 1.466 7.678
Si 1.707 -0.211 2.388
Si 0.496 4.661 1.704
Si 1.748 -1.222 7.331
Si 0.537 3.650 6.646
Si 3.675 1.973 1.356
Si 5.732 -0.005 2.250
O -1.309 0.398 3.796
O 0.237 -0.279 1.623
O -2.926 2.199 7.737
O -1.340 0.455 6.449
O 0.505 -2.282 7.214
O 0.285 4.335 0.085
O -0.867 5.372 2.289
O 0.741 3.239 2.401
O 1.644 0.313 3.897
O 2.556 0.766 1.366
O -0.312 2.672 7.668
O 0.600 3.125 5.137
O 1.502 0.200 6.633
O 3.111 -1.933 6.745
O 1.958 -0.897 8.949
O 1.739 5.720 1.820
O 3.584 2.984 2.585
O 5.170 1.240 1.297
O 2.007 3.717 7.412
O 3.553 3.041 5.239
```

=====

Entry 5:
Diffraction record for Nd2SmFe9. The X-ray powder pattern is calculated, not measured: it uses a crystal structure in Alexandria, relaxed with GGA-PBE and Cu Kα.
Lines closer than 0.1° are merged.

Main lines, by angle (2θ = 10–90°):
2θ/deg, Rel. int.
32.20, 50
34.64, 54
35.19, 35
40.39, 39
41.14, 100
60.55, 16
62.44, 14
66.51, 23
67.37, 14
73.09, 21

Cell and atoms:
```
12
Lattice="2.589 1.495 8.266 -2.589 1.495 8.266 0.000 -2.990 8.266" Properties=species:S:1:pos:R:3 pbc="T T T"
Nd 0.000 0.000 3.509
Nd 0.000 0.000 21.290
Sm 0.000 0.000 0.000
Fe -1.280 -0.739 10.244
Fe 0.000 0.000 8.252
Fe 0.000 -1.477 14.555
Fe -1.280 0.739 14.555
Fe 0.000 0.000 12.399
Fe 1.280 -0.739 10.244
Fe 0.000 1.477 10.244
Fe 0.000 0.000 16.547
Fe 1.280 0.739 14.555
```

=====

Entry 6:
Diffraction record for Ce6Sb3Au. The X-ray powder pattern is calculated, not measured: it uses a crystal structure in Alexandria, relaxed with GGA-PBE and Cu Kα.
Lines closer than 0.1° are merged.

Main lines, by angle (2θ = 10–90°):
2θ/deg, Rel. int.
24.15, 39
26.10, 47
29.85, 40
30.04, 100
30.15, 78
31.76, 49
33.09, 65
33.38, 87
36.74, 68
42.30, 42

Cell and atoms:
```
20
Lattice="7.434 0.000 0.000 0.000 8.635 0.000 -7.375 0.000 9.785" Properties=species:S:1:pos:R:3 pbc="T T T"
Ce -1.614 0.833 2.508
Ce -5.302 3.485 7.401
Ce 1.163 5.816 0.565
Ce -2.525 7.137 5.457
Ce 2.631 1.568 0.588
Ce -1.057 2.750 5.481
Ce 1.116 5.885 4.304
Ce -2.572 7.068 9.196
Ce 2.584 1.499 4.327
Ce -1.104 2.819 9.220
Ce 5.361 5.151 2.384
Ce 1.673 7.803 7.276
Sb 0.000 0.000 0.000
Sb -3.688 4.318 4.892
Sb -3.213 1.058 7.375
Sb 0.475 3.260 2.483
Sb -0.416 5.375 7.302
Sb 3.272 7.578 2.410
Au 0.029 0.000 4.892
Au 3.717 4.318 0.000
```

=====

Entry 7:
Diffraction record for La4TbPmDy2. The X-ray powder pattern is calculated, not measured: it uses a crystal structure in Alexandria, relaxed with GGA-PBE and Cu Kα.
Lines closer than 0.1° are merged.

Main lines, by angle (2θ = 10–90°):
2θ/deg, Rel. int.
29.93, 100
34.10, 18
34.36, 17
35.60, 16
49.19, 13
50.12, 12
58.48, 15
58.82, 15
60.47, 14
62.18, 12

Cell and atoms:
```
8
Lattice="5.220 0.000 0.000 0.000 5.258 0.000 0.000 0.000 10.087" Properties=species:S:1:pos:R:3 pbc="T T T"
La 0.000 0.000 2.504
La 0.000 0.000 7.584
La 2.610 2.629 2.509
La 2.610 2.629 7.578
Tb 0.000 2.629 0.000
Pm 2.610 0.000 5.044
Dy 0.000 2.629 5.044
Dy 2.610 0.000 0.000
```

=====

Entry 8:
Diffraction record for Pa2Pd2Se7. The X-ray powder pattern is calculated, not measured: it uses a crystal structure in Alexandria, relaxed with GGA-PBE and Cu Kα.
Lines closer than 0.1° are merged.

Main lines, by angle (2θ = 10–90°):
2θ/deg, Rel. int.
11.89, 11
23.92, 82
30.22, 21
39.55, 100
46.75, 42
57.17, 16
62.86, 17
71.75, 28
76.86, 13
85.17, 8

Cell and atoms:
```
22
Lattice="0.000 6.445 6.445 6.445 0.000 6.445 6.445 6.445 0.000" Properties=species:S:1:pos:R:3 pbc="T T T"
Pa 0.000 0.000 0.000
Pa 3.222 3.222 0.000
Pa 3.222 0.000 3.222
Pa 0.000 3.222 3.222
Pd 6.445 3.222 3.222
Pd 3.222 6.445 3.222
Pd 3.222 3.222 6.445
Pd 6.445 6.445 6.445
Se 1.611 1.611 1.611
Se 4.833 4.833 1.945
Se 4.833 1.945 4.833
Se 7.722 4.833 4.833
Se 8.056 8.056 5.167
Se 8.056 5.167 8.056
Se 10.944 8.056 8.056
Se 1.945 4.833 4.833
Se 4.833 7.722 4.833
Se 4.833 4.833 7.722
Se 5.167 8.056 8.056
Se 8.056 10.944 8.056
Se 8.056 8.056 10.944
Se 11.278 11.278 11.278
```

=====

> Which formula does entry 2 have?

Li3ScF6